Entry 1:
For Tb2Cu17, a structure optimized by DFT (PBE) gives the computed X-ray diffraction stick pattern in this record (Cu Kα, 1.54184 Å).

Top 10 peaks for 5 to 70 degrees two-theta, sorted by position:
2θ (°), I_rel
30.1, 31
36.6, 40
37.8, 27
42.5, 60
42.8, 100
43.6, 47
43.8, 15
48.1, 26
61.9, 20
62.5, 24

Structural model:
```
Tb2Cu17
1.0
4.2518 2.4548 4.1573
-4.2518 2.4548 4.1573
0.0000 -4.9096 4.1573
Tb Cu
2 17
Direct
0.1589 0.1589 0.1589
0.8411 0.8411 0.8411
0.0000 0.5000 0.5000
0.1540 0.1540 0.6541
0.1540 0.6541 0.1540
0.2043 0.5000 0.7957
0.2043 0.7957 0.5000
0.3459 0.8460 0.8460
0.4019 0.4019 0.4019
0.5000 0.0000 0.5000
0.5000 0.2043 0.7957
0.5000 0.5000 0.0000
0.5000 0.7957 0.2043
0.5981 0.5981 0.5981
0.6541 0.1540 0.1540
0.7957 0.2043 0.5000
0.7957 0.5000 0.2043
0.8460 0.3459 0.8460
0.8460 0.8460 0.3459
```

***

Entry 2:
For TbTlCu3Te4, a structure optimized by DFT (PBE) gives the computed X-ray diffraction stick pattern in this record (Cu Kα, 1.54184 Å).

Top 10 peaks for 5 to 70 degrees two-theta, sorted by position:
2θ (°), I_rel
23.9, 20
25.5, 31
26.6, 100
26.8, 26
31.4, 35
39.9, 36
41.1, 36
44.6, 18
45.2, 23
47.8, 26

Structural model:
```
TbTlCu3Te4
1.0
6.3106 0.0000 0.0000
0.0000 8.0180 0.0000
-2.6612 0.0000 10.1674
Tb Tl Cu Te
2 2 6 8
Direct
0.1287 0.2500 0.2748
0.8713 0.7500 0.7252
0.1766 0.2500 0.8987
0.8234 0.7500 0.1013
0.3020 0.5302 0.4984
0.3020 0.9698 0.4984
0.3397 0.7500 0.6891
0.6603 0.2500 0.3109
0.6980 0.0302 0.5016
0.6980 0.4698 0.5016
0.0161 0.2500 0.5335
0.2749 0.7500 0.9295
0.4262 0.5322 0.2753
0.4262 0.9678 0.2753
0.5738 0.0322 0.7247
0.5738 0.4678 0.7247
0.7251 0.2500 0.0705
0.9839 0.7500 0.4665
```

***

Entry 3:
For TbYCu6, a structure optimized by DFT (PBE) gives the computed X-ray diffraction stick pattern in this record (Cu Kα, 1.54184 Å).

Top 10 peaks for 5 to 70 degrees two-theta, sorted by position:
2θ (°), I_rel
26.1, 17
31.0, 25
35.4, 37
36.9, 31
39.6, 55
41.5, 100
42.5, 41
55.3, 15
56.5, 19
57.5, 16

Structural model:
```
TbYCu6
1.0
4.2549 0.0000 0.0000
0.0000 5.7424 0.0000
0.0000 0.0000 5.3867
Tb Y Cu
1 1 6
Direct
0.0000 0.0000 0.0000
0.5000 0.5000 0.7555
0.0000 0.2217 0.5065
0.0000 0.5000 0.1485
0.0000 0.7783 0.5065
0.5000 0.0000 0.6080
0.5000 0.2779 0.2495
0.5000 0.7221 0.2495
```